Simulated powder diffractogram
Compound: Tl2V8O21
Radiation: Cu Ka
Structure: a structure optimized by DFT (GGA+U)
Lines closer than 0.1° are merged.

Structural model:
```
Tl2V8O21
1.0
7.769 -1.812 0.000
7.769 1.812 0.000
-0.068 0.000 15.265
Tl V O
2 8 21
Direct
0.028 0.028 0.312 Tl
0.972 0.972 0.688 Tl
0.189 0.189 0.071 V
0.310 0.310 0.267 V
0.329 0.329 0.475 V
0.408 0.408 0.072 V
0.592 0.592 0.928 V
0.671 0.671 0.525 V
0.690 0.690 0.733 V
0.811 0.811 0.929 V
0.114 0.114 0.144 O
0.118 0.118 0.955 O
0.164 0.164 0.743 O
0.210 0.210 0.529 O
0.214 0.214 0.309 O
0.287 0.287 0.138 O
0.305 0.305 0.966 O
0.382 0.382 0.373 O
0.405 0.405 0.550 O
0.451 0.451 0.170 O
0.500 0.500 0.000 O
0.549 0.549 0.830 O
0.595 0.595 0.450 O
0.618 0.618 0.627 O
0.695 0.695 0.034 O
0.713 0.713 0.862 O
0.786 0.786 0.691 O
0.790 0.790 0.471 O
0.836 0.836 0.257 O
0.882 0.882 0.045 O
0.886 0.886 0.856 O
```

Peak list (10 most intense, 2θ = 15–90°, sorted by position)
16.26°, intensity 87; 17.43°, intensity 57; 20.88°, intensity 81; 25.69°, intensity 100; 25.91°, intensity 78; 27.85°, intensity 83; 28.98°, intensity 57; 29.25°, intensity 57; 30.68°, intensity 69; 30.82°, intensity 81